The following is a computed powder XRD pattern of Pm7Er2. It was derived from the PBE geometry in Alexandria, using CuKα.

The 9 most intense peaks (15 to 90 degrees two-theta), sorted by position:
| h k l | 2theta | I/Imax |
| --- | --- | --- |
| 1 1 1 | 30.3 | 100 |
| 2 -1 2 | 35.1 | 51 |
| 3 0 0 | 50.5 | 36 |
| 3 0 3 | 60.0 | 43 |
| 2 2 2 | 62.9 | 12 |
| 4 -2 4 | 74.1 | 6 |
| 4 1 1 | 82.1 | 13 |
| 1 1 7 | 82.2 | 4 |
| 5 -1 2 | 84.7 | 16 |

Cell and atoms:
a b c (Å): 6.2688 6.2688 8.8526
angles (deg): 90.00 90.00 120.00
Sites, in units of the cell vectors:
Pm 0.0000 0.0000 0.0000
Pm 0.0000 0.3343 0.6694
Pm 0.0000 0.6657 0.3306
Pm 0.3343 0.0000 0.6694
Pm 0.3343 0.3343 0.3306
Pm 0.6657 0.0000 0.3306
Pm 0.6657 0.6657 0.6694
Er 0.3333 0.6667 0.0000
Er 0.6667 0.3333 0.0000